Record 1
Diffraction record for Pr6CoRu. The powder XRD pattern is simulated, not measured: it uses a structure optimized by DFT (GGA-PBE) and a wavelength of 1.5418 Å.

Cell and atoms:
```
Pr6CoRu
1.0
6.800 0.000 0.000
-3.400 5.889 0.000
0.000 0.000 6.219
Pr Co Ru
6 1 1
Cartesian
-1.175 2.035 1.573 Pr
-2.225 3.854 4.645 Pr
2.349 0.000 1.573 Pr
1.175 2.035 4.645 Pr
4.451 0.000 4.645 Pr
2.225 3.854 1.573 Pr
0.000 0.000 3.109 Co
0.000 0.000 0.000 Ru
```

Main lines, low angle first (10 to 90 degrees two-theta):
2θ (°)	I/Imax
15.04	8
26.21	9
28.71	16
29.95	100
39.26	31
46.25	28
51.64	22
55.35	15
56.08	16
75.55	13
78.48	12
89.79	9


Record 2
Diffraction record for PrBi3O6. The powder XRD pattern is simulated, not measured: it uses a structure optimized by DFT (GGA-PBE) and a wavelength of 1.5418 Å.

Cell and atoms:
```
PrBi3O6
1.0
3.137 1.811 5.018
-3.137 1.811 5.018
0.000 -3.623 5.018
Pr Bi O
1 3 6
Cartesian
0.000 0.000 0.000 Pr
0.000 0.000 4.124 Bi
0.000 0.000 7.403 Bi
0.000 0.000 11.727 Bi
-0.728 -1.494 5.775 O
-2.331 -0.329 8.206 O
-0.930 1.377 5.775 O
1.451 -1.854 8.206 O
1.658 0.117 5.775 O
0.881 2.183 8.206 O
```

Main lines, low angle first (10 to 90 degrees two-theta):
2θ (°)	I/Imax
20.15	16
28.45	100
28.86	85
40.97	40
46.33	22
50.38	27
50.63	42
51.38	12
58.87	14
66.87	16
81.10	13
81.30	11


Record 3
Diffraction record for CsTiTl2Br6. The powder XRD pattern is simulated, not measured: it uses a structure optimized by DFT (GGA-PBE) and a wavelength of 1.5418 Å.

Cell and atoms:
```
CsTiTl2Br6
1.0
8.123 0.000 0.000
4.060 7.043 0.000
4.060 2.349 7.030
Cs Ti Tl Br
1 1 2 6
Cartesian
0.000 0.000 0.000 Cs
8.122 4.698 3.770 Ti
4.061 2.353 0.981 Tl
12.184 7.047 4.172 Tl
6.034 4.745 5.373 Br
6.948 6.518 2.332 Br
9.205 6.482 5.377 Br
7.139 2.772 2.327 Br
9.120 2.868 5.377 Br
10.288 4.808 2.335 Br
```

Main lines, low angle first (10 to 90 degrees two-theta):
2θ (°)	I/Imax
15.13	59
21.05	86
21.87	57
25.32	72
30.54	44
33.71	100
34.78	35
37.88	62
38.37	59
44.62	26
51.99	28
60.26	24


Record 4
Diffraction record for Li4HfF8. The powder XRD pattern is simulated, not measured: it uses a structure optimized by DFT (GGA-PBE) and a wavelength of 1.5418 Å.

Cell and atoms:
```
Li4HfF8
1.0
0.000 4.239 4.239
4.239 0.000 4.239
4.239 4.239 0.000
Li Hf F
4 1 8
Cartesian
3.335 3.335 3.335 Li
5.143 5.143 3.335 Li
5.143 3.335 5.143 Li
3.335 5.143 5.143 Li
0.000 0.000 0.000 Hf
1.109 1.109 1.109 F
3.131 3.131 1.109 F
3.131 1.109 3.131 F
5.217 3.262 3.262 F
1.109 3.131 3.131 F
3.262 5.217 3.262 F
3.262 3.262 5.217 F
5.217 5.217 5.217 F
```

Main lines, low angle first (10 to 90 degrees two-theta):
2θ (°)	I/Imax
18.12	100
20.96	75
29.81	59
35.10	76
36.72	35
46.70	37
47.99	28
52.90	23
56.39	31
61.91	23
65.08	22
88.60	16